(1)
Starting from a cell relaxed with PBE+U, the XRD peak list of Mn11ZnO16 was simulated for Cu Ka.
Lines closer than 0.1° are merged.

Crystal structure
```
Mn11ZnO16
1.0
4.162 -4.758 0.000
4.162 4.758 0.000
0.000 0.000 8.325
Mn Zn O
11 1 16
Cartesian
0.000 0.000 0.000
2.081 2.379 6.238
1.054 1.183 3.136
1.054 -1.183 5.189
3.132 1.183 1.058
5.193 1.183 7.267
2.081 -2.379 2.088
3.132 -1.183 7.267
5.193 -1.183 1.058
7.271 1.183 5.189
7.271 -1.183 3.136
4.162 0.000 4.163
3.244 3.648 5.097
1.162 1.264 1.169
5.081 3.648 3.229
3.032 1.240 3.039
3.230 1.116 7.407
1.162 -1.264 7.156
3.032 -1.240 5.286
5.095 1.116 0.918
3.230 -1.116 0.918
5.293 1.240 5.286
7.163 1.264 7.156
5.095 -1.116 7.407
5.293 -1.240 3.039
3.244 -3.648 3.229
7.163 -1.264 1.169
5.081 -3.648 5.097
```

Largest 10 diffraction maxima, sorted by position, 2θ from 5° to 70°:
Position (°2θ)	I/Imax
17.72	16
28.49	38
30.37	16
32.05	73
35.38	100
43.48	19
50.39	23
57.25	32
58.96	57
63.18	22

(2)
Starting from a cell relaxed with PBE+U, the XRD peak list of Li3Fe3O8 was simulated for Cu Ka.
Lines closer than 0.1° are merged.

Crystal structure
```
Li3Fe3O8
1.0
5.772 0.000 0.000
-0.003 5.818 0.000
-2.865 -2.886 4.219
Li Fe O
3 3 8
Cartesian
0.000 0.000 0.000
0.048 -1.353 3.283
2.856 4.285 0.936
-0.001 2.909 0.000
-1.434 1.466 2.109
1.452 1.466 2.109
-1.556 1.365 3.985
0.038 0.215 2.074
1.331 1.565 0.213
0.025 2.769 2.134
2.880 0.163 2.085
1.574 1.367 4.005
2.866 2.717 2.145
4.461 1.567 0.234
```

Largest 10 diffraction maxima, sorted by position, 2θ from 5° to 70°:
Position (°2θ)	I/Imax
18.49	100
18.63	19
21.69	9
35.54	14
36.31	17
36.42	11
42.87	19
44.21	36
58.30	10
63.27	11